[1]
Starting from a DFT-relaxed cell (PBE, Alexandria), the powder XRD pattern of Al2Ir3 was simulated for a wavelength of 1.5418 Å.

Structural model:
```
data_Al2Ir3
_cell_length_a 4.123
_cell_length_b 4.123
_cell_length_c 5.143
_cell_angle_alpha 90.00
_cell_angle_beta 90.00
_cell_angle_gamma 120.00
_symmetry_space_group_name_H-M 'P 1'
_symmetry_Int_Tables_number 1
loop_
_symmetry_equiv_pos_as_xyz
'x,y,z'
loop_
_atom_site_label
_atom_site_type_symbol
_atom_site_fract_x
_atom_site_fract_y
_atom_site_fract_z
Al1 Al 0.333 0.667 0.327
Al2 Al 0.667 0.333 0.673
Ir1 Ir 0.000 0.000 0.500
Ir2 Ir 0.333 0.667 0.841
Ir3 Ir 0.667 0.333 0.159
```

The 6 most intense peaks (10 to 90 degrees two-theta), in order of rising 2θ:
| Position (°2θ) | I_rel |
| --- | --- |
| 30.48 | 100 |
| 43.36 | 57 |
| 43.92 | 54 |
| 54.40 | 20 |
| 63.43 | 18 |
| 80.35 | 19 |



[2]
Starting from a DFT-relaxed cell (PBE, Alexandria), the powder XRD pattern of BiClF3 was simulated for a wavelength of 1.5418 Å.

Structural model:
```
data_BiClF3
_cell_length_a 8.312
_cell_length_b 7.389
_cell_length_c 9.056
_cell_angle_alpha 90.00
_cell_angle_beta 118.42
_cell_angle_gamma 90.00
_symmetry_space_group_name_H-M 'P 1'
_symmetry_Int_Tables_number 1
loop_
_symmetry_equiv_pos_as_xyz
'x,y,z'
loop_
_atom_site_label
_atom_site_type_symbol
_atom_site_fract_x
_atom_site_fract_y
_atom_site_fract_z
Bi1 Bi 0.054 0.250 0.011
Bi2 Bi 0.054 0.250 0.511
Bi3 Bi 0.946 0.750 0.489
Bi4 Bi 0.946 0.750 0.989
Cl1 Cl 0.499 0.634 0.493
Cl2 Cl 0.499 0.866 0.993
Cl3 Cl 0.501 0.134 0.007
Cl4 Cl 0.501 0.366 0.507
F1 F 0.030 0.242 0.248
F2 F 0.030 0.258 0.748
F3 F 0.170 0.558 0.596
F4 F 0.170 0.942 0.096
F5 F 0.172 0.559 0.078
F6 F 0.172 0.941 0.578
F7 F 0.828 0.059 0.422
F8 F 0.828 0.441 0.922
F9 F 0.830 0.058 0.904
F10 F 0.830 0.442 0.404
F11 F 0.970 0.742 0.252
F12 F 0.970 0.758 0.752
```

The 6 most intense peaks (10 to 90 degrees two-theta), in order of rising 2θ:
| Position (°2θ) | I_rel |
| --- | --- |
| 12.11 | 100 |
| 19.67 | 30 |
| 22.32 | 39 |
| 23.96 | 26 |
| 24.09 | 22 |
| 27.04 | 32 |



What did the first record say?
Starting from a DFT-relaxed cell (PBE, Alexandria), the powder XRD pattern of Al2Ir3 was simulated for a wavelength of 1.5418 Å.

Structural model:
```
data_Al2Ir3
_cell_length_a 4.123
_cell_length_b 4.123
_cell_length_c 5.143
_cell_angle_alpha 90.00
_cell_angle_beta 90.00
_cell_angle_gamma 120.00
_symmetry_space_group_name_H-M 'P 1'
_symmetry_Int_Tables_number 1
loop_
_symmetry_equiv_pos_as_xyz
'x,y,z'
loop_
_atom_site_label
_atom_site_type_symbol
_atom_site_fract_x
_atom_site_fract_y
_atom_site_fract_z
Al1 Al 0.333 0.667 0.327
Al2 Al 0.667 0.333 0.673
Ir1 Ir 0.000 0.000 0.500
Ir2 Ir 0.333 0.667 0.841
Ir3 Ir 0.667 0.333 0.159
```

The 6 most intense peaks (10 to 90 degrees two-theta), in order of rising 2θ:
| Position (°2θ) | I_rel |
| --- | --- |
| 30.48 | 100 |
| 43.36 | 57 |
| 43.92 | 54 |
| 54.40 | 20 |
| 63.43 | 18 |
| 80.35 | 19 |